# 1
LaTl2TeS4: simulated powder diffraction line list (Cu Kα (weighted mean of Kα1 and Kα2)), based on the PBE geometry in Alexandria.
No peak broadening, texture or thermal motion is included.

Atomic structure:
Unit cell a=7.471 b=4.111 c=7.912 alpha=90.00 beta=110.14 gamma=90.00
Positions (direct):
1 La 0.000 0.000 0.000
2 Tl 0.000 0.500 0.500
3 Tl 0.500 0.000 0.500
4 Te 0.500 0.500 0.000
5 S 0.208 0.500 0.236
6 S 0.284 0.000 0.808
7 S 0.716 0.000 0.192
8 S 0.792 0.500 0.764

Peak list (6 most intense, 2θ from 10° to 80°, by intensity)
two_theta, intensity
29.7, 100
25.9, 63
28.4, 58
24.0, 42
40.6, 42
42.5, 37

---

# 2
CrFe3Co: simulated powder diffraction line list (Cu Kα (weighted mean of Kα1 and Kα2)), based on the PBE geometry in Alexandria.
No peak broadening, texture or thermal motion is included.

Atomic structure:
Unit cell a=4.690 b=8.039 c=6.936 alpha=90.00 beta=118.89 gamma=90.00
Positions (direct):
1 Cr 0.202 0.127 0.151
2 Cr 0.202 0.373 0.651
3 Cr 0.798 0.627 0.349
4 Cr 0.798 0.873 0.849
5 Fe 0.004 0.124 0.752
6 Fe 0.004 0.376 0.252
7 Fe 0.396 0.624 0.547
8 Fe 0.396 0.876 0.047
9 Fe 0.406 0.125 0.553
10 Fe 0.406 0.375 0.053
11 Fe 0.594 0.625 0.947
12 Fe 0.594 0.875 0.447
13 Fe 0.604 0.124 0.953
14 Fe 0.604 0.376 0.453
15 Fe 0.996 0.624 0.748
16 Fe 0.996 0.876 0.248
17 Co 0.191 0.626 0.146
18 Co 0.191 0.874 0.646
19 Co 0.809 0.126 0.354
20 Co 0.809 0.374 0.854

Peak list (5 most intense, 2θ from 10° to 80°, by intensity)
two_theta, intensity
45.2, 100
44.9, 26
45.1, 25
65.5, 15
66.3, 7

---

# 3
Ag3AuSe2: simulated powder diffraction line list (Cu Kα (weighted mean of Kα1 and Kα2)), based on the PBE geometry in Alexandria.
No peak broadening, texture or thermal motion is included.

Atomic structure:
Unit cell a=8.761 b=8.761 c=8.761 alpha=109.47 beta=109.47 gamma=109.47
Positions (direct):
1 Ag 0.128 0.750 0.878
2 Ag 0.128 0.878 0.250
3 Ag 0.250 0.128 0.878
4 Ag 0.250 0.622 0.372
5 Ag 0.372 0.250 0.622
6 Ag 0.372 0.622 0.750
7 Ag 0.622 0.372 0.250
8 Ag 0.622 0.750 0.372
9 Ag 0.750 0.372 0.622
10 Ag 0.750 0.878 0.128
11 Ag 0.878 0.128 0.750
12 Ag 0.878 0.250 0.128
13 Au 0.000 0.250 0.500
14 Au 0.250 0.250 0.250
15 Au 0.250 0.500 0.000
16 Au 0.500 0.000 0.250
17 Se 0.000 0.536 0.500
18 Se 0.000 0.964 0.500
19 Se 0.500 0.000 0.536
20 Se 0.500 0.000 0.964
21 Se 0.536 0.500 0.000
22 Se 0.536 0.536 0.536
23 Se 0.964 0.500 0.000
24 Se 0.964 0.964 0.964

Peak list (6 most intense, 2θ from 10° to 80°, by intensity)
two_theta, intensity
33.1, 100
12.4, 36
39.9, 32
43.8, 29
49.3, 28
45.7, 23

---

# 4
LiHg2Pb: simulated powder diffraction line list (Cu Kα (weighted mean of Kα1 and Kα2)), based on the PBE geometry in Alexandria.
No peak broadening, texture or thermal motion is included.

Atomic structure:
Unit cell a=3.894 b=4.996 c=10.085 alpha=90.00 beta=90.00 gamma=90.00
Positions (direct):
1 Li 0.000 0.000 0.000
2 Li 0.500 0.500 0.500
3 Hg 0.000 0.000 0.477
4 Hg 0.000 0.500 0.712
5 Hg 0.500 0.000 0.212
6 Hg 0.500 0.500 0.977
7 Pb 0.000 0.500 0.246
8 Pb 0.500 0.000 0.746

Peak list (6 most intense, 2θ from 10° to 80°, by intensity)
two_theta, intensity
34.2, 100
35.9, 23
35.6, 20
24.5, 18
63.5, 17
32.1, 17

---

# 5
CsRbTlCl4: simulated powder diffraction line list (Cu Kα (weighted mean of Kα1 and Kα2)), based on the PBE geometry in Alexandria.
No peak broadening, texture or thermal motion is included.

Atomic structure:
Unit cell a=9.501 b=9.501 c=7.790 alpha=90.00 beta=90.00 gamma=131.74
Positions (direct):
1 Cs 0.106 0.894 0.750
2 Cs 0.894 0.106 0.250
3 Rb 0.391 0.609 0.750
4 Rb 0.609 0.391 0.250
5 Tl 0.253 0.747 0.250
6 Tl 0.747 0.253 0.750
7 Cl 0.000 0.500 0.000
8 Cl 0.000 0.500 0.500
9 Cl 0.089 0.911 0.250
10 Cl 0.419 0.581 0.250
11 Cl 0.500 0.000 0.000
12 Cl 0.500 0.000 0.500
13 Cl 0.581 0.419 0.750
14 Cl 0.911 0.089 0.750

Peak list (6 most intense, 2θ from 10° to 80°, by intensity)
two_theta, intensity
22.3, 100
22.9, 81
32.6, 60
10.2, 51
39.8, 46
30.5, 35

---

# 6
TeAuCl3: simulated powder diffraction line list (Cu Kα (weighted mean of Kα1 and Kα2)), based on the PBE geometry in Alexandria.
No peak broadening, texture or thermal motion is included.

Atomic structure:
Unit cell a=6.439 b=6.387 c=16.700 alpha=90.00 beta=94.12 gamma=90.00
Positions (direct):
1 Te 0.044 0.121 0.334
2 Te 0.044 0.879 0.834
3 Te 0.956 0.121 0.166
4 Te 0.956 0.879 0.666
5 Au 0.042 0.262 0.619
6 Au 0.042 0.738 0.119
7 Au 0.958 0.262 0.881
8 Au 0.958 0.738 0.381
9 Cl 0.178 0.379 0.085
10 Cl 0.178 0.621 0.585
11 Cl 0.235 0.397 0.815
12 Cl 0.235 0.603 0.315
13 Cl 0.297 0.124 0.542
14 Cl 0.297 0.876 0.042
15 Cl 0.703 0.124 0.958
16 Cl 0.703 0.876 0.458
17 Cl 0.765 0.397 0.685
18 Cl 0.765 0.603 0.185
19 Cl 0.822 0.379 0.415
20 Cl 0.822 0.621 0.915

Peak list (6 most intense, 2θ from 10° to 80°, by intensity)
two_theta, intensity
13.8, 100
26.3, 34
21.3, 25
34.2, 15
21.2, 14
46.6, 13